# 1
Simulated PXRD pattern
Compound: SrNiF6
Radiation: Cu Kα, 1.54184 Å
Structure: a structure optimized by DFT (GGA+U)
Peak positions follow from Bragg's law for the DFT cell and can differ from measured ones.

The 10 most intense peaks (10 to 90 degrees two-theta), in order of rising 2θ:
d = 3.625 Å, 2θ = 24.6°, intensity 100
d = 2.959 Å, 2θ = 30.2°, intensity 48
d = 2.292 Å, 2θ = 39.3°, intensity 14
d = 2.237 Å, 2θ = 40.3°, intensity 27
d = 1.937 Å, 2θ = 46.9°, intensity 71
d = 1.812 Å, 2θ = 50.3°, intensity 16
d = 1.545 Å, 2θ = 59.8°, intensity 9
d = 1.422 Å, 2θ = 65.7°, intensity 11
d = 1.370 Å, 2θ = 68.5°, intensity 32
d = 1.208 Å, 2θ = 79.3°, intensity 14

Crystal structure
```
SrNiF6
1.0
3.6248 2.0928 2.2363
-3.6248 2.0928 2.2363
0.0000 -4.1856 2.2363
Sr Ni F
1 1 6
Direct
0.0000 0.0000 0.0000
0.5000 0.5000 0.5000
0.2235 0.2235 0.5657
0.2235 0.5657 0.2235
0.4343 0.7765 0.7765
0.5657 0.2235 0.2235
0.7765 0.4343 0.7765
0.7765 0.7765 0.4343
```


# 2
Simulated PXRD pattern
Compound: Tl2NiF4
Radiation: Cu Kα, 1.54184 Å
Structure: a structure optimized by DFT (GGA+U)
Peak positions follow from Bragg's law for the DFT cell and can differ from measured ones.

The 10 most intense peaks (10 to 90 degrees two-theta), in order of rising 2θ:
d = 3.955 Å, 2θ = 22.5°, intensity 22
d = 3.511 Å, 2θ = 25.4°, intensity 13
d = 3.093 Å, 2θ = 28.9°, intensity 100
d = 2.914 Å, 2θ = 30.7°, intensity 55
d = 2.341 Å, 2θ = 38.5°, intensity 15
d = 2.242 Å, 2θ = 40.2°, intensity 27
d = 2.061 Å, 2θ = 43.9°, intensity 28
d = 1.826 Å, 2θ = 50.0°, intensity 25
d = 1.715 Å, 2θ = 53.4°, intensity 38
d = 1.547 Å, 2θ = 59.8°, intensity 15

Crystal structure
```
Tl2NiF4
1.0
4.1212 0.0000 0.0000
0.0000 4.1212 0.0000
0.0000 0.0000 14.0458
Tl Ni F
4 2 8
Direct
0.0000 0.0000 0.1504
0.0000 0.0000 0.8496
0.5000 0.5000 0.3496
0.5000 0.5000 0.6504
0.0000 0.0000 0.5000
0.5000 0.5000 0.0000
0.0000 0.0000 0.3559
0.0000 0.0000 0.6441
0.0000 0.5000 0.0000
0.0000 0.5000 0.5000
0.5000 0.0000 0.0000
0.5000 0.0000 0.5000
0.5000 0.5000 0.1441
0.5000 0.5000 0.8559
```


# 3
Simulated PXRD pattern
Compound: YNiF5
Radiation: Cu Kα, 1.54184 Å
Structure: a structure optimized by DFT (GGA+U)
Peak positions follow from Bragg's law for the DFT cell and can differ from measured ones.

The 10 most intense peaks (10 to 90 degrees two-theta), in order of rising 2θ:
d = 4.071 Å, 2θ = 21.8°, intensity 86
d = 3.572 Å, 2θ = 24.9°, intensity 100
d = 3.454 Å, 2θ = 25.8°, intensity 65
d = 2.685 Å, 2θ = 33.4°, intensity 24
d = 2.634 Å, 2θ = 34.0°, intensity 21
d = 2.087 Å, 2θ = 43.4°, intensity 27
d = 2.035 Å, 2θ = 44.5°, intensity 24
d = 2.016 Å, 2θ = 45.0°, intensity 34
d = 1.807 Å, 2θ = 50.5°, intensity 20
d = 1.768 Å, 2θ = 51.7°, intensity 24

Crystal structure
```
YNiF5
1.0
4.1730 0.0000 0.0000
0.0000 6.9088 0.0000
0.0000 0.0000 8.1414
Y Ni F
2 2 10
Direct
0.0000 0.0000 0.0000
0.5000 0.5000 0.5000
0.0000 0.0000 0.5000
0.5000 0.5000 0.0000
0.0000 0.0000 0.2697
0.0000 0.0000 0.7303
0.0000 0.3171 0.0000
0.0000 0.5000 0.5000
0.0000 0.6829 0.0000
0.5000 0.0000 0.0000
0.5000 0.1829 0.5000
0.5000 0.5000 0.2303
0.5000 0.5000 0.7697
0.5000 0.8171 0.5000
```


# 4
Simulated PXRD pattern
Compound: ZnNiF4
Radiation: Cu Kα, 1.54184 Å
Structure: a structure optimized by DFT (GGA+U)
Peak positions follow from Bragg's law for the DFT cell and can differ from measured ones.

The 10 most intense peaks (10 to 90 degrees two-theta), in order of rising 2θ:
d = 2.961 Å, 2θ = 30.2°, intensity 51
d = 2.941 Å, 2θ = 30.4°, intensity 100
d = 2.916 Å, 2θ = 30.7°, intensity 49
d = 1.812 Å, 2θ = 50.4°, intensity 24
d = 1.805 Å, 2θ = 50.6°, intensity 67
d = 1.787 Å, 2θ = 51.1°, intensity 47
d = 1.547 Å, 2θ = 59.8°, intensity 14
d = 1.540 Å, 2θ = 60.1°, intensity 14
d = 1.538 Å, 2θ = 60.2°, intensity 13
d = 1.529 Å, 2θ = 60.5°, intensity 13

Crystal structure
```
ZnNiF4
1.0
5.0935 0.0000 0.0000
-0.0077 5.1205 0.0000
-2.4917 -2.4947 5.0617
Zn Ni F
2 2 8
Direct
0.2504 0.2482 0.0003
0.7496 0.7518 0.9997
0.0000 0.5000 0.5000
0.5000 0.0000 0.5000
0.0730 0.1636 0.2387
0.1600 0.6640 0.2437
0.3394 0.4342 0.7566
0.4280 0.9313 0.7621
0.5720 0.0687 0.2379
0.6606 0.5658 0.2434
0.8400 0.3360 0.7563
0.9270 0.8364 0.7613
```


# 5
Simulated PXRD pattern
Compound: ZrNiF6
Radiation: Cu Kα, 1.54184 Å
Structure: a structure optimized by DFT (GGA+U)
Peak positions follow from Bragg's law for the DFT cell and can differ from measured ones.

The 10 most intense peaks (10 to 90 degrees two-theta), in order of rising 2θ:
d = 4.055 Å, 2θ = 21.9°, intensity 100
d = 2.868 Å, 2θ = 31.2°, intensity 28
d = 2.028 Å, 2θ = 44.7°, intensity 27
d = 1.814 Å, 2θ = 50.3°, intensity 38
d = 1.656 Å, 2θ = 55.5°, intensity 11
d = 1.434 Å, 2θ = 65.0°, intensity 15
d = 1.352 Å, 2θ = 69.5°, intensity 16
d = 1.282 Å, 2θ = 73.9°, intensity 5
d = 1.171 Å, 2θ = 82.4°, intensity 5
d = 1.125 Å, 2θ = 86.5°, intensity 7

Crystal structure
```
ZrNiF6
1.0
0.0000 4.0555 4.0555
4.0555 0.0000 4.0555
4.0555 4.0555 0.0000
Zr Ni F
1 1 6
Direct
0.0000 0.0000 0.0000
0.5000 0.5000 0.5000
0.2511 0.2511 0.7489
0.2511 0.7489 0.2511
0.2511 0.7489 0.7489
0.7489 0.2511 0.2511
0.7489 0.2511 0.7489
0.7489 0.7489 0.2511
```


# 6
Simulated PXRD pattern
Compound: V4Pb3O3F19
Radiation: Cu Kα, 1.54184 Å
Structure: a structure optimized by DFT (GGA+U)
Peak positions follow from Bragg's law for the DFT cell and can differ from measured ones.

The 10 most intense peaks (10 to 90 degrees two-theta), in order of rising 2θ:
d = 4.649 Å, 2θ = 19.1°, intensity 30
d = 4.132 Å, 2θ = 21.5°, intensity 29
d = 3.467 Å, 2θ = 25.7°, intensity 52
d = 3.407 Å, 2θ = 26.2°, intensity 36
d = 3.236 Å, 2θ = 27.6°, intensity 34
d = 3.199 Å, 2θ = 27.9°, intensity 100
d = 2.293 Å, 2θ = 39.3°, intensity 26
d = 2.202 Å, 2θ = 41.0°, intensity 31
d = 1.946 Å, 2θ = 46.7°, intensity 27
d = 1.924 Å, 2θ = 47.2°, intensity 28

Crystal structure
```
V4Pb3O3F19
1.0
10.4077 0.0000 0.0000
-5.2038 9.0133 0.0000
0.0000 0.0000 9.2985
V Pb O F
8 6 6 38
Direct
0.0732 0.3056 0.0000
0.2324 0.9268 0.0000
0.3056 0.0732 0.5000
0.3333 0.6667 0.7247
0.6667 0.3333 0.2247
0.6944 0.7676 0.0000
0.7676 0.6944 0.5000
0.9268 0.2324 0.5000
0.0748 0.6095 0.3197
0.3905 0.4653 0.3197
0.4653 0.3905 0.8197
0.5347 0.9252 0.3197
0.6095 0.0748 0.8197
0.9252 0.5347 0.8197
0.0079 0.1655 0.5919
0.1575 0.9921 0.5919
0.1655 0.0079 0.0919
0.8345 0.8425 0.5919
0.8425 0.8345 0.0919
0.9921 0.1575 0.0919
0.0436 0.4410 0.1054
0.0880 0.3655 0.3839
0.0984 0.8388 0.8543
0.1343 0.7370 0.0865
0.1612 0.2595 0.8543
0.1718 0.5331 0.8491
0.1910 0.6817 0.6140
0.2595 0.1612 0.3543
0.2630 0.3973 0.0865
0.2776 0.9120 0.3839
0.3183 0.5093 0.6140
0.3333 0.6667 0.3113
0.3613 0.8282 0.8491
0.3655 0.0880 0.8839
0.3973 0.2630 0.5865
0.3973 0.9564 0.1054
0.4410 0.0436 0.6054
0.4669 0.6387 0.8491
0.4907 0.8090 0.6140
0.5093 0.3183 0.1140
0.5331 0.1718 0.3491
0.5590 0.6027 0.1054
0.6027 0.5590 0.6054
0.6027 0.8657 0.0865
0.6345 0.7224 0.3839
0.6387 0.4669 0.3491
0.6667 0.3333 0.8113
0.6817 0.1910 0.1140
0.7224 0.6345 0.8839
0.7370 0.1343 0.5865
0.7405 0.9016 0.8543
0.8090 0.4907 0.1140
0.8282 0.3613 0.3491
0.8388 0.0984 0.3543
0.8657 0.6027 0.5865
0.9016 0.7405 0.3543
0.9120 0.2776 0.8839
0.9564 0.3973 0.6054
```


# 7
Simulated PXRD pattern
Compound: Pb5W3O9F10
Radiation: Cu Kα, 1.54184 Å
Structure: a structure optimized by DFT (GGA+U)
Peak positions follow from Bragg's law for the DFT cell and can differ from measured ones.

The 10 most intense peaks (10 to 90 degrees two-theta), in order of rising 2θ:
d = 3.788 Å, 2θ = 23.5°, intensity 77
d = 3.674 Å, 2θ = 24.2°, intensity 48
d = 3.402 Å, 2θ = 26.2°, intensity 100
d = 3.390 Å, 2θ = 26.3°, intensity 53
d = 3.369 Å, 2θ = 26.5°, intensity 99
d = 3.323 Å, 2θ = 26.8°, intensity 47
d = 3.308 Å, 2θ = 27.0°, intensity 68
d = 3.294 Å, 2θ = 27.1°, intensity 37
d = 3.079 Å, 2θ = 29.0°, intensity 48
d = 1.895 Å, 2θ = 48.0°, intensity 36

Crystal structure
```
Pb5W3O9F10
1.0
7.5821 0.0000 0.0000
3.6921 10.6441 0.0000
3.6735 -0.0217 10.7629
Pb W O F
10 6 18 20
Direct
0.0000 0.0000 0.0000
0.0017 0.6734 0.7905
0.1640 0.7979 0.3382
0.2941 0.2249 0.6685
0.4609 0.8353 0.6617
0.4671 0.3454 0.2210
0.5021 0.0032 0.9968
0.6353 0.3370 0.8382
0.7875 0.6574 0.1891
0.9496 0.1967 0.3407
0.0553 0.3252 0.0395
0.4134 0.6841 0.9623
0.4788 0.5139 0.5151
0.5923 0.9692 0.3202
0.8718 0.0497 0.6775
0.9831 0.5107 0.5057
0.0205 0.1528 0.6403
0.1401 0.1526 0.0526
0.1587 0.3628 0.1475
0.2437 0.5082 0.4798
0.2985 0.6550 0.8565
0.3406 0.8576 0.9477
0.3674 0.6785 0.5703
0.4290 0.4247 0.6598
0.4560 0.8590 0.3428
0.5773 0.5638 0.3368
0.6360 0.3594 0.4104
0.6582 0.1512 0.6397
0.6631 0.6488 0.8608
0.6896 0.9621 0.1490
0.7288 0.5136 0.5360
0.7763 0.0760 0.8490
0.8050 0.3530 0.1394
0.8079 0.8672 0.3562
0.0024 0.5838 0.3339
0.0900 0.3375 0.4305
0.1101 0.9002 0.7102
0.1358 0.9665 0.2133
0.1660 0.7056 0.1141
0.3185 0.3022 0.8908
0.3219 0.0424 0.7842
0.3632 0.1228 0.3019
0.4652 0.0251 0.5051
0.4718 0.4996 0.0238
0.5045 0.7053 0.1142
0.5937 0.2329 0.0373
0.6977 0.1252 0.3059
0.7715 0.8963 0.7078
0.8512 0.8069 0.9561
0.8854 0.6850 0.5749
0.9744 0.4382 0.6758
0.9787 0.2998 0.8847
0.9933 0.5075 0.9760
0.9987 0.9781 0.4990
```


Copy entry 7 word for word.
Simulated PXRD pattern
Compound: Pb5W3O9F10
Radiation: Cu Kα, 1.54184 Å
Structure: a structure optimized by DFT (GGA+U)
Peak positions follow from Bragg's law for the DFT cell and can differ from measured ones.

The 10 most intense peaks (10 to 90 degrees two-theta), in order of rising 2θ:
d = 3.788 Å, 2θ = 23.5°, intensity 77
d = 3.674 Å, 2θ = 24.2°, intensity 48
d = 3.402 Å, 2θ = 26.2°, intensity 100
d = 3.390 Å, 2θ = 26.3°, intensity 53
d = 3.369 Å, 2θ = 26.5°, intensity 99
d = 3.323 Å, 2θ = 26.8°, intensity 47
d = 3.308 Å, 2θ = 27.0°, intensity 68
d = 3.294 Å, 2θ = 27.1°, intensity 37
d = 3.079 Å, 2θ = 29.0°, intensity 48
d = 1.895 Å, 2θ = 48.0°, intensity 36

Crystal structure
```
Pb5W3O9F10
1.0
7.5821 0.0000 0.0000
3.6921 10.6441 0.0000
3.6735 -0.0217 10.7629
Pb W O F
10 6 18 20
Direct
0.0000 0.0000 0.0000
0.0017 0.6734 0.7905
0.1640 0.7979 0.3382
0.2941 0.2249 0.6685
0.4609 0.8353 0.6617
0.4671 0.3454 0.2210
0.5021 0.0032 0.9968
0.6353 0.3370 0.8382
0.7875 0.6574 0.1891
0.9496 0.1967 0.3407
0.0553 0.3252 0.0395
0.4134 0.6841 0.9623
0.4788 0.5139 0.5151
0.5923 0.9692 0.3202
0.8718 0.0497 0.6775
0.9831 0.5107 0.5057
0.0205 0.1528 0.6403
0.1401 0.1526 0.0526
0.1587 0.3628 0.1475
0.2437 0.5082 0.4798
0.2985 0.6550 0.8565
0.3406 0.8576 0.9477
0.3674 0.6785 0.5703
0.4290 0.4247 0.6598
0.4560 0.8590 0.3428
0.5773 0.5638 0.3368
0.6360 0.3594 0.4104
0.6582 0.1512 0.6397
0.6631 0.6488 0.8608
0.6896 0.9621 0.1490
0.7288 0.5136 0.5360
0.7763 0.0760 0.8490
0.8050 0.3530 0.1394
0.8079 0.8672 0.3562
0.0024 0.5838 0.3339
0.0900 0.3375 0.4305
0.1101 0.9002 0.7102
0.1358 0.9665 0.2133
0.1660 0.7056 0.1141
0.3185 0.3022 0.8908
0.3219 0.0424 0.7842
0.3632 0.1228 0.3019
0.4652 0.0251 0.5051
0.4718 0.4996 0.0238
0.5045 0.7053 0.1142
0.5937 0.2329 0.0373
0.6977 0.1252 0.3059
0.7715 0.8963 0.7078
0.8512 0.8069 0.9561
0.8854 0.6850 0.5749
0.9744 0.4382 0.6758
0.9787 0.2998 0.8847
0.9933 0.5075 0.9760
0.9987 0.9781 0.4990
```


Please write out number 1 again, unchanged.
Simulated PXRD pattern
Compound: SrNiF6
Radiation: Cu Kα, 1.54184 Å
Structure: a structure optimized by DFT (GGA+U)
Peak positions follow from Bragg's law for the DFT cell and can differ from measured ones.

The 10 most intense peaks (10 to 90 degrees two-theta), in order of rising 2θ:
d = 3.625 Å, 2θ = 24.6°, intensity 100
d = 2.959 Å, 2θ = 30.2°, intensity 48
d = 2.292 Å, 2θ = 39.3°, intensity 14
d = 2.237 Å, 2θ = 40.3°, intensity 27
d = 1.937 Å, 2θ = 46.9°, intensity 71
d = 1.812 Å, 2θ = 50.3°, intensity 16
d = 1.545 Å, 2θ = 59.8°, intensity 9
d = 1.422 Å, 2θ = 65.7°, intensity 11
d = 1.370 Å, 2θ = 68.5°, intensity 32
d = 1.208 Å, 2θ = 79.3°, intensity 14

Crystal structure
```
SrNiF6
1.0
3.6248 2.0928 2.2363
-3.6248 2.0928 2.2363
0.0000 -4.1856 2.2363
Sr Ni F
1 1 6
Direct
0.0000 0.0000 0.0000
0.5000 0.5000 0.5000
0.2235 0.2235 0.5657
0.2235 0.5657 0.2235
0.4343 0.7765 0.7765
0.5657 0.2235 0.2235
0.7765 0.4343 0.7765
0.7765 0.7765 0.4343
```